1.
This entry pairs a crystal structure of TmMg5Ag2 with its simulated PXRD pattern. Radiation: Cu Kα. Structure: the PBE geometry in Alexandria.
Peak positions follow from Bragg's law for the DFT cell and can differ from measured ones.

Structural model:
Cell: 3.456 9.047 11.210 Å, 90.00 90.00 90.00°
Space group Immm (No. 71)
One atom of each set of equivalent atoms:
Tm: 0.000 0.000 0.000 (multiplicity 2)
Mg: 0.000 0.212 0.360 (multiplicity 8)
Mg: 0.000 0.500 0.000 (multiplicity 2)
Ag: 0.000 0.500 0.266 (multiplicity 4)

The 12 most intense peaks (10° ≤ 2θ ≤ 90°), sorted by position:
2θ (°), I/Imax
12.6, 64
19.6, 59
30.7, 16
32.0, 100
33.6, 30
35.4, 31
37.8, 49
39.9, 21
42.9, 41
54.3, 14
56.9, 14
66.9, 18

2.
This entry pairs a crystal structure of TmMg6Ag2 with its simulated PXRD pattern. Radiation: Cu Kα. Structure: the PBE geometry in Alexandria.
Peak positions follow from Bragg's law for the DFT cell and can differ from measured ones.

Structural model:
Cell: 4.252 4.252 11.136 Å, 90.00 90.00 90.00°
Space group P4/mmm (No. 123)
One atom of each set of equivalent atoms:
Tm: 0.000 0.000 0.000 (multiplicity 1)
Mg: 0.000 0.000 0.500 (multiplicity 1)
Mg: 0.000 0.500 0.281 (multiplicity 4)
Mg: 0.500 0.500 0.500 (multiplicity 1)
Ag: 0.500 0.500 0.120 (multiplicity 2)

The 12 most intense peaks (10° ≤ 2θ ≤ 90°), sorted by position:
2θ (°), I/Imax
26.4, 39
29.7, 71
30.8, 100
32.0, 98
33.9, 93
38.7, 92
42.5, 68
43.3, 29
46.0, 44
54.2, 44
58.8, 52
64.4, 31

3.
This entry pairs a crystal structure of YTmMg2Ag4 with its simulated PXRD pattern. Radiation: Cu Kα. Structure: the PBE geometry in Alexandria.
Peak positions follow from Bragg's law for the DFT cell and can differ from measured ones.

Structural model:
Cell: 4.9440 4.9440 24.0277 Å, 90.00 90.00 120.00°
Space group R-3m (No. 166, hexagonal axes)
One atom of each set of equivalent atoms:
Y: 0.0000 0.0000 0.0000 (multiplicity 3)
Tm: 0.0000 0.0000 0.5000 (multiplicity 3)
Mg: 0.0000 0.0000 0.2499 (multiplicity 6)
Ag: 0.0000 0.0000 0.1271 (multiplicity 6)
Ag: 0.0000 0.0000 0.3759 (multiplicity 6)

The 12 most intense peaks (10° ≤ 2θ ≤ 90°), sorted by position:
2θ (°), I/Imax
22.0, 26
36.3, 100
36.5, 98
43.0, 15
52.5, 34
65.4, 17
65.5, 34
65.9, 16
77.2, 10
77.7, 10
88.5, 15
88.9, 15

4.
This entry pairs a crystal structure of Y2Mg3Ag2 with its simulated PXRD pattern. Radiation: Cu Kα. Structure: the PBE geometry in Alexandria.
Peak positions follow from Bragg's law for the DFT cell and can differ from measured ones.

Structural model:
Cell: 10.242 4.639 7.485 Å, 90.00 112.05 90.00°
Space group C2/m (No. 12)
One atom of each set of equivalent atoms:
Y: 0.137 0.000 0.281 (multiplicity 4)
Mg: 0.000 0.500 0.500 (multiplicity 2)
Mg: 0.128 0.500 0.938 (multiplicity 4)
Ag: 0.154 0.000 0.702 (multiplicity 4)

The 12 most intense peaks (10° ≤ 2θ ≤ 90°), sorted by position:
2θ (°), I/Imax
12.8, 26
21.3, 87
25.7, 70
30.7, 36
32.6, 39
34.3, 100
36.0, 79
36.3, 87
37.9, 39
38.8, 63
47.1, 26
67.4, 27

5.
This entry pairs a crystal structure of YMg3Ag2 with its simulated PXRD pattern. Radiation: Cu Kα. Structure: the PBE geometry in Alexandria.
Peak positions follow from Bragg's law for the DFT cell and can differ from measured ones.

Structural model:
Cell: 4.8056 4.8056 13.1329 Å, 90.00 90.00 120.00°
Space group P6_3/mmc (No. 194)
One atom of each set of equivalent atoms:
Y: 0.0000 0.0000 0.2500 (multiplicity 2)
Mg: 0.0000 0.0000 0.0000 (multiplicity 2)
Mg: 0.3333 0.6667 0.0968 (multiplicity 4)
Ag: 0.3333 0.6667 0.6296 (multiplicity 4)

The 12 most intense peaks (10° ≤ 2θ ≤ 90°), sorted by position:
2θ (°), I/Imax
22.4, 66
25.3, 17
27.2, 11
29.6, 17
34.8, 97
37.4, 100
40.6, 26
46.9, 17
52.0, 30
65.8, 28
67.5, 16
69.3, 23

6.
This entry pairs a crystal structure of YMg9Ag2 with its simulated PXRD pattern. Radiation: Cu Kα. Structure: the PBE geometry in Alexandria.
Peak positions follow from Bragg's law for the DFT cell and can differ from measured ones.

Structural model:
Cell: 11.921 11.921 7.562 Å, 90.00 90.00 90.00°
Space group I4_1/amd (No. 141, origin choice 2)
One atom of each set of equivalent atoms:
Y: 0.000 0.250 0.375 (multiplicity 4)
Mg: 0.000 0.250 0.875 (multiplicity 4)
Mg: 0.121 0.051 0.680 (multiplicity 32)
Ag: 0.000 0.000 0.000 (multiplicity 8)

The 12 most intense peaks (10° ≤ 2θ ≤ 90°), sorted by position:
2θ (°), I/Imax
13.9, 29
20.4, 100
27.9, 38
29.5, 79
30.0, 40
33.6, 86
36.4, 37
39.6, 59
41.4, 69
42.5, 30
47.9, 34
53.1, 24